(1)
Diffraction record for YTl2Cu3F12. The PXRD pattern is simulated, not measured: it uses a PBE-relaxed structure and λ = 1.5418 Å (Cu Kα).

Atomic structure:
abc: 7.237 7.237 7.237
angles: 62.69 62.69 62.69
Fractional positions:
Y 0.000 0.000 0.000
Tl 0.385 0.385 0.385
Tl 0.615 0.615 0.615
Cu 0.000 0.000 0.500
Cu 0.000 0.500 0.000
Cu 0.500 0.000 0.000
F 0.088 0.706 0.706
F 0.103 0.103 0.635
F 0.103 0.635 0.103
F 0.294 0.294 0.912
F 0.294 0.912 0.294
F 0.365 0.897 0.897
F 0.635 0.103 0.103
F 0.706 0.088 0.706
F 0.706 0.706 0.088
F 0.897 0.365 0.897
F 0.897 0.897 0.365
F 0.912 0.294 0.294

Principal peaks in the range 2θ from 15° to 90°, by intensity:
- 2θ = 28.28°, I 100
- 2θ = 29.14°, I 76
- 2θ = 27.84°, I 73
- 2θ = 23.63°, I 68
- 2θ = 48.35°, I 55
- 2θ = 24.64°, I 55
- 2θ = 44.53°, I 34
- 2θ = 50.53°, I 33
- 2θ = 45.11°, I 32
- 2θ = 57.46°, I 31

(2)
Diffraction record for TmCuF5. The PXRD pattern is simulated, not measured: it uses a PBE-relaxed structure and λ = 1.5418 Å (Cu Kα).

Atomic structure:
abc: 5.605 5.605 7.125
angles: 107.14 107.14 79.20
Fractional positions:
Tm 0.058 0.942 0.750
Tm 0.942 0.058 0.250
Cu 0.500 0.500 0.000
Cu 0.500 0.500 0.500
F 0.155 0.815 0.038
F 0.185 0.845 0.462
F 0.225 0.309 0.372
F 0.309 0.225 0.872
F 0.379 0.621 0.750
F 0.621 0.379 0.250
F 0.691 0.775 0.128
F 0.775 0.691 0.628
F 0.815 0.155 0.538
F 0.845 0.185 0.962

Principal peaks in the range 2θ from 15° to 90°, by intensity:
- 2θ = 22.28°, I 100
- 2θ = 28.00°, I 93
- 2θ = 24.92°, I 50
- 2θ = 16.65°, I 44
- 2θ = 45.46°, I 24
- 2θ = 36.59°, I 22
- 2θ = 35.54°, I 22
- 2θ = 18.57°, I 22
- 2θ = 40.39°, I 21
- 2θ = 33.67°, I 21

(3)
Diffraction record for ZnCuF5. The PXRD pattern is simulated, not measured: it uses a PBE-relaxed structure and λ = 1.5418 Å (Cu Kα).

Atomic structure:
abc: 5.074 9.665 7.473
angles: 90.00 109.47 90.00
Fractional positions:
Zn 0.025 0.013 0.234
Zn 0.025 0.487 0.734
Zn 0.975 0.513 0.266
Zn 0.975 0.987 0.766
Cu 0.397 0.242 0.626
Cu 0.397 0.258 0.126
Cu 0.603 0.742 0.874
Cu 0.603 0.758 0.374
F 0.088 0.117 0.597
F 0.088 0.383 0.097
F 0.145 0.109 0.017
F 0.145 0.391 0.517
F 0.290 0.640 0.337
F 0.290 0.860 0.837
F 0.348 0.182 0.363
F 0.348 0.318 0.863
F 0.369 0.593 0.769
F 0.369 0.907 0.269
F 0.631 0.093 0.731
F 0.631 0.407 0.231
F 0.652 0.682 0.137
F 0.652 0.818 0.637
F 0.710 0.140 0.163
F 0.710 0.360 0.663
F 0.855 0.609 0.483
F 0.855 0.891 0.983
F 0.912 0.617 0.903
F 0.912 0.883 0.403

Principal peaks in the range 2θ from 15° to 90°, by intensity:
- 2θ = 26.22°, I 100
- 2θ = 26.94°, I 37
- 2θ = 20.73°, I 33
- 2θ = 31.96°, I 26
- 2θ = 54.07°, I 21
- 2θ = 25.28°, I 18
- 2θ = 27.55°, I 18
- 2θ = 47.34°, I 17
- 2θ = 55.53°, I 16
- 2θ = 31.43°, I 16

(4)
Diffraction record for Zn2CuF8. The PXRD pattern is simulated, not measured: it uses a PBE-relaxed structure and λ = 1.5418 Å (Cu Kα).

Atomic structure:
abc: 5.044 5.113 6.954
angles: 81.62 71.10 88.83
Fractional positions:
Zn 0.233 0.009 0.302
Zn 0.767 0.991 0.698
Cu 0.500 0.500 0.000
F 0.162 0.315 0.097
F 0.173 0.083 0.583
F 0.386 0.667 0.247
F 0.388 0.791 0.857
F 0.612 0.209 0.143
F 0.614 0.333 0.753
F 0.827 0.917 0.417
F 0.838 0.685 0.903

Principal peaks in the range 2θ from 15° to 90°, by intensity:
- 2θ = 19.17°, I 100
- 2θ = 20.60°, I 43
- 2θ = 30.42°, I 39
- 2θ = 42.36°, I 26
- 2θ = 42.01°, I 21
- 2θ = 23.82°, I 21
- 2θ = 17.54°, I 15
- 2θ = 34.89°, I 13
- 2θ = 51.31°, I 12
- 2θ = 18.60°, I 11

(5)
Diffraction record for ZnCuF3. The PXRD pattern is simulated, not measured: it uses a PBE-relaxed structure and λ = 1.5418 Å (Cu Kα).

Atomic structure:
abc: 5.541 5.541 9.496
angles: 90.00 90.00 120.00
Fractional positions:
Zn 0.000 0.000 0.250
Zn 0.000 0.000 0.750
Zn 0.333 0.667 0.250
Zn 0.667 0.333 0.750
Cu 0.333 0.667 0.613
Cu 0.333 0.667 0.887
Cu 0.667 0.333 0.113
Cu 0.667 0.333 0.387
F 0.037 0.335 0.133
F 0.037 0.702 0.367
F 0.298 0.335 0.367
F 0.298 0.963 0.133
F 0.335 0.037 0.633
F 0.335 0.298 0.867
F 0.665 0.702 0.133
F 0.665 0.963 0.367
F 0.702 0.037 0.867
F 0.702 0.665 0.633
F 0.963 0.298 0.633
F 0.963 0.665 0.867

Principal peaks in the range 2θ from 15° to 90°, by intensity:
- 2θ = 32.31°, I 100
- 2θ = 33.93°, I 85
- 2θ = 37.59°, I 60
- 2θ = 57.63°, I 48
- 2θ = 18.69°, I 47
- 2θ = 47.55°, I 42
- 2θ = 58.66°, I 37
- 2θ = 68.24°, I 22
- 2θ = 42.48°, I 17
- 2θ = 26.41°, I 15

(6)
Diffraction record for Zr3CuF6. The PXRD pattern is simulated, not measured: it uses a PBE-relaxed structure and λ = 1.5418 Å (Cu Kα).

Atomic structure:
abc: 5.210 5.414 6.487
angles: 90.33 90.39 110.90
Fractional positions:
Zr 0.000 0.000 0.000
Zr 0.000 0.500 0.500
Zr 0.500 0.000 0.500
Cu 0.500 0.500 0.500
F 0.138 0.831 0.272
F 0.143 0.838 0.726
F 0.391 0.233 0.007
F 0.609 0.767 0.993
F 0.857 0.162 0.274
F 0.862 0.169 0.728

Principal peaks in the range 2θ from 15° to 90°, by intensity:
- 2θ = 24.55°, I 100
- 2θ = 27.50°, I 64
- 2θ = 46.88°, I 37
- 2θ = 50.34°, I 36
- 2θ = 36.94°, I 35
- 2θ = 22.19°, I 30
- 2θ = 22.38°, I 29
- 2θ = 45.71°, I 28
- 2θ = 35.50°, I 25
- 2θ = 46.43°, I 21